This entry pairs a crystal structure of LaIn2Bi2 with its calculated powder diffractogram. Radiation: copper Kα. Structure: a crystal structure in Alexandria, relaxed with GGA-PBE.
Peak positions follow from Bragg's law for the DFT cell and can differ from measured ones.

Atomic structure:
```
data_LaIn2Bi2
_chemical_formula_sum 'La4 In8 Bi8'
_cell_length_a 4.7303
_cell_length_b 27.8648
_cell_length_c 4.6199
_cell_angle_alpha 90.00
_cell_angle_beta 90.00
_cell_angle_gamma 90.00
_space_group_name_H-M_alt 'C m c m'
_space_group_IT_number 63
_space_group_name_Hall '-C 2c 2'
loop_
_atom_site_label
_atom_site_fract_x
_atom_site_fract_y
_atom_site_fract_z
_atom_site_occupancy
La1 0.0000 0.1558 0.2500 1
In1 0.0000 0.0445 0.7500 1
In2 0.0000 0.4541 0.7500 1
Bi1 0.0000 0.2503 0.7500 1
Bi2 0.0000 0.3647 0.2500 1
```

Most intense lines, 2θ from 5° to 70°, low angle first:
2θ (°)  I/Imax
31.5  100
32.1  19
38.0  16
39.0  15
50.6  11
55.6  11
64.7  13
66.0  12